Starting from DFT lattice parameters and positions (PBE), the XRD peak list of SrPuPbO6 was simulated for Cu Kα, 1.54184 Å.
Lines closer than 0.1° are merged.

Top 10 peaks for 2θ = 5–70°, in order of rising 2θ:
2θ = 16.81°, rel. 57, (0 0 2)
2θ = 17.75°, rel. 22, (1 0 0)
2θ = 24.54°, rel. 100, (1 0 2)
2θ = 30.99°, rel. 66, (1 1 0)
2θ = 35.46°, rel. 50, (1 1 2)
2θ = 39.92°, rel. 27, (2 0 2)
2θ = 46.65°, rel. 61, (1 1 4)
2θ = 51.38°, rel. 27, (2 1 2)
2θ = 55.13°, rel. 21, (3 0 0)
2θ = 66.37°, rel. 15, (3 0 4)

Structure:
Lattice parameters (Å, degrees): 5.771 5.771 10.551 90.00 90.00 120.00
Fractional coordinates of all 18 atoms:
Sr: 0.000 0.000 0.000
Sr: 0.000 0.000 0.500
Pu: 0.333 0.667 0.250
Pu: 0.667 0.333 0.750
Pb: 0.333 0.667 0.750
Pb: 0.667 0.333 0.250
O: 0.030 0.378 0.142
O: 0.030 0.652 0.358
O: 0.348 0.378 0.358
O: 0.348 0.970 0.142
O: 0.378 0.030 0.642
O: 0.378 0.348 0.858
O: 0.622 0.652 0.142
O: 0.622 0.970 0.358
O: 0.652 0.030 0.858
O: 0.652 0.622 0.642
O: 0.970 0.348 0.642
O: 0.970 0.622 0.858